No. 1
The following is a theoretical PXRD pattern of OsN. It was derived from DFT lattice parameters and positions (PBE), using λ = 1.5418 Å (Cu Kα).
Lines closer than 0.1° are merged.

Structure:
```
data_OsN
_symmetry_space_group_name_H-M 'P m n 21'
_symmetry_Int_Tables_number 31
_symmetry_space_group_name_Hall 'P 2ac -2'
_cell_length_a 2.778
_cell_length_b 3.731
_cell_length_c 4.270
_cell_angle_alpha 90.00
_cell_angle_beta 90.00
_cell_angle_gamma 90.00
loop_
_atom_site_label
_atom_site_type_symbol
_atom_site_fract_x
_atom_site_fract_y
_atom_site_fract_z
Os1 Os 0.000 0.137 0.000
N1 N 0.000 0.650 0.801
```

Peak list (10 most intense, 10 to 90 degrees two-theta, sorted by position)
hkl, 2theta, d/Å, I (rel.)
0 1 0, 23.85, 3.731, 60
0 1 1, 31.85, 2.810, 88
1 0 1, 38.67, 2.328, 100
1 1 0, 40.49, 2.228, 42
0 0 2, 42.33, 2.135, 33
1 1 1, 45.94, 1.975, 48
0 2 1, 53.61, 1.710, 38
1 2 0, 59.71, 1.549, 30
1 1 2, 60.01, 1.542, 34
1 2 2, 75.90, 1.254, 25


No. 2
The following is a theoretical PXRD pattern of Sm2Ga12Ir. It was derived from DFT lattice parameters and positions (PBE), using λ = 1.5418 Å (Cu Kα).
Lines closer than 0.1° are merged.

Structure:
```
data_Sm2Ga12Ir
_symmetry_space_group_name_H-M 'P 4/n b m'
_symmetry_Int_Tables_number 125
_cell_length_a 6.109
_cell_length_b 6.109
_cell_length_c 15.600
_cell_angle_alpha 90.00
_cell_angle_beta 90.00
_cell_angle_gamma 90.00
loop_
_symmetry_equiv_pos_as_xyz
'x,y,z'
'-x,-y,-z'
'-y+1/2,x,z'
'y+1/2,-x,-z'
'-x+1/2,-y+1/2,z'
'x+1/2,y+1/2,-z'
'y,-x+1/2,z'
'-y,x+1/2,-z'
'x,-y+1/2,-z'
'-x,y+1/2,z'
'-y+1/2,-x+1/2,-z'
'y+1/2,x+1/2,z'
'-x+1/2,y,-z'
'x+1/2,-y,z'
'y,x,-z'
'-y,-x,z'
loop_
_atom_site_label
_atom_site_type_symbol
_atom_site_fract_x
_atom_site_fract_y
_atom_site_fract_z
Sm1 Sm 0.250 0.750 0.239
Ga1 Ga 0.000 0.000 0.087
Ga2 Ga 0.083 0.583 0.431
Ga3 Ga 0.250 0.250 0.190
Ga4 Ga 0.250 0.250 0.347
Ir1 Ir 0.250 0.750 0.000
```

Peak list (10 most intense, 10 to 90 degrees two-theta, sorted by position)
hkl, 2theta, d/Å, I (rel.)
1 1 0, 20.56, 4.319, 30
1 1 4, 30.89, 2.895, 100
2 0 2, 31.46, 2.844, 73
2 0 4, 37.40, 2.405, 60
2 0 5, 41.37, 2.183, 51
2 2 0, 41.83, 2.160, 90
2 0 6, 45.83, 1.980, 43
3 1 1, 47.42, 1.917, 26
0 0 9, 52.88, 1.731, 58
3 1 8, 68.35, 1.372, 31